Record 1
Structure and calculated powder diffraction line list of LaPa2PdN5 (the PBE geometry in Alexandria; Cu Kα X-rays).
No peak broadening, texture or thermal motion is included.

Most intense lines, 15 to 90 degrees two-theta, low angle first:
2θ/deg	I_rel
15.07	286
30.41	496
31.09	1000
31.26	782
38.19	658
38.60	195
49.58	319
54.47	209
58.19	184
62.73	175

Atomic structure:
a b c (Å): 7.5038 7.5038 7.5038
angles (deg): 127.85 127.85 76.87
Sites, in units of the cell vectors:
1 La 0.2500 0.2500 0.0000
2 La 0.7500 0.7500 0.0000
3 Pa 0.1708 0.6708 0.8415
4 Pa 0.3292 0.1708 0.5000
5 Pa 0.6708 0.8292 0.5000
6 Pa 0.8292 0.3292 0.1585
7 Pd 0.2500 0.7500 0.5000
8 Pd 0.7500 0.2500 0.5000
9 N 0.0000 0.0000 0.0000
10 N 0.0325 0.2235 0.5000
11 N 0.2235 0.7235 0.1909
12 N 0.2765 0.4675 0.5000
13 N 0.4675 0.9675 0.1909
14 N 0.5000 0.5000 0.0000
15 N 0.5325 0.0325 0.8091
16 N 0.7235 0.5325 0.5000
17 N 0.7765 0.2765 0.8091
18 N 0.9675 0.7765 0.5000



Record 2
Structure and calculated powder diffraction line list of LaPm2PaN4 (the PBE geometry in Alexandria; Cu Kα X-rays).
No peak broadening, texture or thermal motion is included.

Most intense lines, 15 to 90 degrees two-theta, low angle first:
2θ/deg	I_rel
30.08	514
30.31	1000
30.47	494
35.07	951
35.21	468
50.29	333
50.44	333
50.79	326
59.75	240
60.15	462

Atomic structure:
a b c (Å): 6.2149 3.6155 6.2933
angles (deg): 90.00 109.23 90.00
Sites, in units of the cell vectors:
1 La 0.0000 0.0000 0.0000
2 Pm 0.5000 0.0000 0.5000
3 Pm 0.5000 0.5000 0.0000
4 Pa 0.0000 0.5000 0.5000
5 N 0.2283 0.0000 0.7222
6 N 0.2358 0.5000 0.2762
7 N 0.7642 0.5000 0.7238
8 N 0.7717 0.0000 0.2778



Record 3
Structure and calculated powder diffraction line list of LaSmPaN3 (the PBE geometry in Alexandria; Cu Kα X-rays).
No peak broadening, texture or thermal motion is included.

Most intense lines, 15 to 90 degrees two-theta, low angle first:
2θ/deg	I_rel
15.98	496
27.22	392
29.00	259
29.22	1000
30.29	776
30.90	700
37.67	456
41.66	270
53.27	335
61.19	263

Atomic structure:
a b c (Å): 6.5518 3.4876 10.3670
angles (deg): 90.00 90.20 90.00
Sites, in units of the cell vectors:
1 La 0.1724 0.2500 0.2269
2 La 0.8276 0.7500 0.7731
3 Sm 0.3465 0.7500 0.8897
4 Sm 0.6535 0.2500 0.1103
5 Pa 0.2069 0.2500 0.5783
6 Pa 0.7931 0.7500 0.4217
7 N 0.1416 0.2500 0.7788
8 N 0.1451 0.7500 0.4407
9 N 0.3788 0.7500 0.1157
10 N 0.6212 0.2500 0.8843
11 N 0.8549 0.2500 0.5593
12 N 0.8584 0.7500 0.2212



Record 4
Structure and calculated powder diffraction line list of La4Pa3TaN8 (the PBE geometry in Alexandria; Cu Kα X-rays).
No peak broadening, texture or thermal motion is included.

Most intense lines, 15 to 90 degrees two-theta, low angle first:
2θ/deg	I_rel
30.17	371
31.09	1000
35.78	927
50.91	326
52.10	317
60.33	173
61.39	316
61.92	151
64.81	161
87.71	145

Atomic structure:
a b c (Å): 7.1783 7.1783 7.1783
angles (deg): 58.57 58.57 58.57
Sites, in units of the cell vectors:
1 La 0.0000 0.0000 0.0000
2 La 0.0000 0.5000 0.5000
3 La 0.5000 0.0000 0.5000
4 La 0.5000 0.5000 0.0000
5 Pa 0.0000 0.0000 0.5000
6 Pa 0.0000 0.5000 0.0000
7 Pa 0.5000 0.0000 0.0000
8 Ta 0.5000 0.5000 0.5000
9 N 0.2342 0.2342 0.2342
10 N 0.2504 0.7223 0.7223
11 N 0.2777 0.2777 0.7496
12 N 0.2777 0.7496 0.2777
13 N 0.7223 0.2504 0.7223
14 N 0.7223 0.7223 0.2504
15 N 0.7496 0.2777 0.2777
16 N 0.7658 0.7658 0.7658



Record 5
Structure and calculated powder diffraction line list of LaPaTcN4 (the PBE geometry in Alexandria; Cu Kα X-rays).
No peak broadening, texture or thermal motion is included.

Most intense lines, 15 to 90 degrees two-theta, low angle first:
2θ/deg	I_rel
23.97	183
31.35	1000
32.60	589
42.73	110
43.70	154
46.78	264
55.00	150
57.39	375
65.42	108
77.75	98

Atomic structure:
a b c (Å): 3.8842 3.8842 12.6158
angles (deg): 90.00 90.00 90.00
Sites, in units of the cell vectors:
1 La 0.0000 0.0000 0.0000
2 La 0.5000 0.5000 0.5000
3 Pa 0.0000 0.0000 0.7098
4 Pa 0.5000 0.5000 0.2098
5 Tc 0.0000 0.0000 0.3463
6 Tc 0.5000 0.5000 0.8463
7 N 0.0000 0.0000 0.1820
8 N 0.0000 0.0000 0.5424
9 N 0.0000 0.5000 0.3443
10 N 0.0000 0.5000 0.8443
11 N 0.5000 0.0000 0.3443
12 N 0.5000 0.0000 0.8443
13 N 0.5000 0.5000 0.0424
14 N 0.5000 0.5000 0.6820



Record 6
Structure and calculated powder diffraction line list of La3TmPa2N6 (the PBE geometry in Alexandria; Cu Kα X-rays).
No peak broadening, texture or thermal motion is included.

Most intense lines, 15 to 90 degrees two-theta, low angle first:
2θ/deg	I_rel
29.78	368
30.67	1000
35.30	943
50.20	335
51.36	323
59.47	171
60.50	315
61.02	151
63.86	165
86.27	147

Atomic structure:
a b c (Å): 6.1635 6.1635 6.3418
angles (deg): 99.31 99.31 120.03
Sites, in units of the cell vectors:
1 La 0.0000 0.0000 0.0000
2 La 0.3343 0.6657 0.0000
3 La 0.6657 0.3343 0.0000
4 Tm 0.5000 0.5000 0.5000
5 Pa 0.1667 0.8333 0.5000
6 Pa 0.8333 0.1667 0.5000
7 N 0.0885 0.4313 0.2941
8 N 0.2261 0.2261 0.7060
9 N 0.4313 0.0885 0.2941
10 N 0.5687 0.9115 0.7059
11 N 0.7739 0.7739 0.2940
12 N 0.9115 0.5687 0.7059



Record 7
Structure and calculated powder diffraction line list of La4ZrPa3N8 (the PBE geometry in Alexandria; Cu Kα X-rays).
No peak broadening, texture or thermal motion is included.

Most intense lines, 15 to 90 degrees two-theta, low angle first:
2θ/deg	I_rel
29.99	368
30.80	1000
35.48	950
50.52	333
51.57	326
59.88	172
60.82	315
61.28	151
64.16	166
86.71	148

Atomic structure:
a b c (Å): 7.2287 7.2287 7.2287
angles (deg): 58.72 58.72 58.72
Sites, in units of the cell vectors:
1 La 0.0000 0.0000 0.0000
2 La 0.0000 0.5000 0.5000
3 La 0.5000 0.0000 0.5000
4 La 0.5000 0.5000 0.0000
5 Zr 0.5000 0.5000 0.5000
6 Pa 0.0000 0.0000 0.5000
7 Pa 0.0000 0.5000 0.0000
8 Pa 0.5000 0.0000 0.0000
9 N 0.2337 0.2337 0.2337
10 N 0.2362 0.7320 0.7320
11 N 0.2680 0.2680 0.7638
12 N 0.2680 0.7638 0.2680
13 N 0.7320 0.2362 0.7320
14 N 0.7320 0.7320 0.2362
15 N 0.7638 0.2680 0.2680
16 N 0.7663 0.7663 0.7663



Record 8
Structure and calculated powder diffraction line list of La2Sm4Pb3N2 (the PBE geometry in Alexandria; Cu Kα X-rays).
No peak broadening, texture or thermal motion is included.

Most intense lines, 15 to 90 degrees two-theta, low angle first:
2θ/deg	I_rel
18.45	155
26.65	271
27.17	111
30.02	122
33.01	1000
36.74	478
46.29	106
52.94	168
56.43	143
63.82	310

Atomic structure:
a b c (Å): 13.5749 13.5749 13.5749
angles (deg): 159.24 159.24 29.53
Sites, in units of the cell vectors:
1 La 0.1906 0.1906 0.0000
2 La 0.8094 0.8094 0.0000
3 Sm 0.0829 0.5829 0.5000
4 Sm 0.4171 0.9171 0.5000
5 Sm 0.5829 0.0829 0.5000
6 Sm 0.9171 0.4171 0.5000
7 Pb 0.3251 0.3251 0.0000
8 Pb 0.5000 0.5000 0.0000
9 Pb 0.6749 0.6749 0.0000
10 N 0.1015 0.1015 0.0000
11 N 0.8985 0.8985 0.0000